Diffraction record for Pr2NdSmSe3O4. The powder X-ray diffraction pattern is simulated, not measured: it uses a structure optimized by DFT (GGA-PBE) and Cu Kα, 1.54184 Å.
Kinematic intensities with the Lorentz-polarization factor, no thermal factor.

Main lines, in order of rising 2θ (2θ = 10–90°):
| 2θ (°) | d (Å) | I (rel.) |
| --- | --- | --- |
| 25.14 | 3.543 | 55 |
| 30.42 | 2.938 | 100 |
| 31.46 | 2.843 | 54 |
| 34.92 | 2.569 | 28 |
| 41.94 | 2.154 | 15 |
| 45.12 | 2.010 | 27 |
| 46.98 | 1.934 | 23 |
| 53.32 | 1.718 | 16 |

Crystal structure
```
Pr2NdSmSe3O4
1.0
8.4718 0.0000 0.0000
0.0000 2.0085 6.4626
0.0000 -2.0085 6.4626
Pr Nd Sm Se O
2 1 1 3 4
Direct
0.2365 0.0000 0.0000
0.7635 0.0000 0.0000
0.5000 0.3322 0.3322
0.0000 0.3183 0.3183
0.0000 0.6316 0.6316
0.3517 0.6727 0.6727
0.6483 0.6727 0.6727
0.0000 0.9020 0.9020
0.2421 0.4017 0.4017
0.5000 0.9308 0.9308
0.7579 0.4017 0.4017
```



Diffraction record for PrNdSm2Se3O4. The powder X-ray diffraction pattern is simulated, not measured: it uses a structure optimized by DFT (GGA-PBE) and Cu Kα, 1.54184 Å.
Kinematic intensities with the Lorentz-polarization factor, no thermal factor.

Main lines, in order of rising 2θ (2θ = 10–90°):
| 2θ (°) | d (Å) | I (rel.) |
| --- | --- | --- |
| 25.28 | 3.523 | 55 |
| 30.55 | 2.926 | 100 |
| 31.66 | 2.827 | 55 |
| 35.08 | 2.558 | 29 |
| 45.39 | 1.998 | 27 |
| 47.19 | 1.926 | 23 |
| 53.67 | 1.708 | 17 |
| 59.48 | 1.554 | 15 |

Crystal structure
```
PrNdSm2Se3O4
1.0
8.4135 0.0000 0.0000
0.0000 1.9978 6.4448
0.0000 -1.9978 6.4448
Pr Nd Sm Se O
1 1 2 3 4
Direct
0.0000 0.0000 0.0000
0.5000 0.9845 0.9845
0.2630 0.6666 0.6666
0.7370 0.6666 0.6666
0.1509 0.3380 0.3380
0.5000 0.2963 0.2963
0.8491 0.3380 0.3380
0.0000 0.6023 0.6023
0.2573 0.0738 0.0738
0.5000 0.5738 0.5738
0.7427 0.0738 0.0738
```



Diffraction record for PrNdSm2Se3O4. The powder X-ray diffraction pattern is simulated, not measured: it uses a structure optimized by DFT (GGA-PBE) and Cu Kα, 1.54184 Å.
Kinematic intensities with the Lorentz-polarization factor, no thermal factor.

Main lines, in order of rising 2θ (2θ = 10–90°):
| 2θ (°) | d (Å) | I (rel.) |
| --- | --- | --- |
| 25.28 | 3.522 | 55 |
| 30.55 | 2.926 | 100 |
| 31.67 | 2.825 | 56 |
| 35.06 | 2.560 | 30 |
| 45.42 | 1.997 | 27 |
| 47.17 | 1.927 | 23 |
| 53.69 | 1.707 | 17 |
| 59.44 | 1.555 | 15 |

Crystal structure
```
PrNdSm2Se3O4
1.0
8.4082 0.0000 0.0000
0.0000 1.9963 6.4529
0.0000 -1.9963 6.4529
Pr Nd Sm Se O
1 1 2 3 4
Direct
0.0000 0.0000 0.0000
0.5000 0.0180 0.0180
0.2378 0.6835 0.6835
0.7622 0.6835 0.6835
0.0000 0.3117 0.3117
0.3493 0.3559 0.3559
0.6507 0.3559 0.3559
0.0000 0.5915 0.5915
0.2450 0.0909 0.0909
0.5000 0.6181 0.6181
0.7550 0.0909 0.0909
```



Diffraction record for RbNdO2. The powder X-ray diffraction pattern is simulated, not measured: it uses a structure optimized by DFT (GGA-PBE) and Cu Kα, 1.54184 Å.
Kinematic intensities with the Lorentz-polarization factor, no thermal factor.

Main lines, in order of rising 2θ (2θ = 10–90°):
| 2θ (°) | d (Å) | I (rel.) |
| --- | --- | --- |
| 13.60 | 6.513 | 23 |
| 27.39 | 3.256 | 37 |
| 29.80 | 2.998 | 81 |
| 33.86 | 2.648 | 100 |
| 47.08 | 1.930 | 35 |
| 50.15 | 1.819 | 33 |
| 55.33 | 1.660 | 18 |
| 58.09 | 1.588 | 28 |

Crystal structure
```
RbNdO2
1.0
3.6379 0.0000 0.0000
-1.8189 3.1505 0.0000
0.0000 0.0000 19.5388
Rb Nd O
3 3 6
Direct
0.0000 0.0000 0.0000
0.3333 0.6667 0.6667
0.6667 0.3333 0.3333
0.0000 0.0000 0.5000
0.3333 0.6667 0.1667
0.6667 0.3333 0.8333
0.0000 0.0000 0.2280
0.0000 0.0000 0.7720
0.3333 0.6667 0.4387
0.3333 0.6667 0.8947
0.6667 0.3333 0.1053
0.6667 0.3333 0.5613
```